Structure and simulated powder diffraction line list of Li2Th2Si3 (DFT lattice parameters and positions (GGA-PBE); Cu Kα, 1.54184 Å).
Lines closer than 0.1° are merged.

Most intense lines, 2θ from 10° to 80°, by intensity:
34.3 deg, I = 100.0, (1 5 1)
33.7 deg, I = 63.8, (1 1 2)
20.7 deg, I = 58.2, (1 1 0)
23.3 deg, I = 57.0, (0 4 1)
26.3 deg, I = 39.2, (0 0 2)
32.0 deg, I = 24.1, (0 6 1)

```
data_Li2Th2Si3
_chemical_formula_sum 'Li8 Th8 Si12'
_space_group_name_H-M_alt 'C m c m'
_space_group_IT_number 63
_space_group_name_Hall '-C 2c 2'
_cell_length_a 4.4106
_cell_length_b 18.4433
_cell_length_c 6.7768
_cell_angle_alpha 90.00
_cell_angle_beta 90.00
_cell_angle_gamma 90.00
loop_
_atom_site_label
_atom_site_fract_x
_atom_site_fract_y
_atom_site_fract_z
_atom_site_occupancy
Li1 0.0000 0.1877 0.0657 1
Th1 0.0000 0.3437 0.2500 1
Th2 0.0000 0.4497 0.7500 1
Si1 0.0000 0.0601 0.5718 1
Si2 0.0000 0.2799 0.7500 1
```


Structure and simulated powder diffraction line list of LiTh2Si2 (DFT lattice parameters and positions (GGA-PBE); Cu Kα, 1.54184 Å).
Lines closer than 0.1° are merged.

Most intense lines, 2θ from 10° to 80°, by intensity:
33.2 deg, I = 100.0, (1 1 -3)
32.3 deg, I = 99.3, (4 0 -2)
22.6 deg, I = 86.5, (1 1 0)
25.9 deg, I = 68.1, (2 0 -3)
32.1 deg, I = 62.4, (3 1 -1)
24.0 deg, I = 52.7, (2 0 1)

```
data_LiTh2Si2
_chemical_formula_sum 'Li4 Th8 Si8'
_space_group_name_H-M_alt 'C 1 2/m 1'
_space_group_IT_number 12
_space_group_name_Hall '-C 2y'
_cell_length_a 11.0834
_cell_length_b 4.3034
_cell_length_c 10.5324
_cell_angle_alpha 90.00
_cell_angle_beta 117.46
_cell_angle_gamma 90.00
loop_
_atom_site_label
_atom_site_fract_x
_atom_site_fract_y
_atom_site_fract_z
_atom_site_occupancy
Li1 0.2279 0.0000 0.3696 1
Th1 0.0060 0.5000 0.3260 1
Th2 0.1930 0.5000 0.1047 1
Si1 0.0158 0.0000 0.8902 1
Si2 0.1302 0.0000 0.5684 1
```


Structure and simulated powder diffraction line list of Li2Tm2Si3 (DFT lattice parameters and positions (GGA-PBE); Cu Kα, 1.54184 Å).
Lines closer than 0.1° are merged.

Most intense lines, 2θ from 10° to 80°, by intensity:
35.7 deg, I = 100.0, (1 5 1)
34.8 deg, I = 66.0, (1 1 2)
24.0 deg, I = 52.5, (0 4 1)
21.7 deg, I = 48.5, (1 1 0)
26.8 deg, I = 38.6, (0 0 2)
33.0 deg, I = 23.9, (0 6 1)

```
data_Li2Tm2Si3
_chemical_formula_sum 'Li8 Tm8 Si12'
_space_group_name_H-M_alt 'C m c m'
_space_group_IT_number 63
_space_group_name_Hall '-C 2c 2'
_cell_length_a 4.2008
_cell_length_b 17.8193
_cell_length_c 6.6496
_cell_angle_alpha 90.00
_cell_angle_beta 90.00
_cell_angle_gamma 90.00
loop_
_atom_site_label
_atom_site_fract_x
_atom_site_fract_y
_atom_site_fract_z
_atom_site_occupancy
Li1 0.0000 0.1905 0.0606 1
Tm1 0.0000 0.3438 0.2500 1
Tm2 0.0000 0.4474 0.7500 1
Si1 0.0000 0.0602 0.5709 1
Si2 0.0000 0.2788 0.7500 1
```


Structure and simulated powder diffraction line list of LiVSi (DFT lattice parameters and positions (GGA-PBE); Cu Kα, 1.54184 Å).
Lines closer than 0.1° are merged.

Most intense lines, 2θ from 10° to 80°, by intensity:
12.4 deg, I = 100.0, (0 0 1)
44.0 deg, I = 28.8, (0 1 3)
43.4 deg, I = 27.4, (1 1 1)
40.2 deg, I = 19.1, (1 1 0)
44.2 deg, I = 15.8, (0 2 0)
33.3 deg, I = 13.7, (0 1 2)

```
data_LiVSi
_chemical_formula_sum 'Li2 V2 Si2'
_space_group_name_H-M_alt 'P 1 21/m 1'
_space_group_IT_number 11
_space_group_name_Hall '-P 2yb'
_cell_length_a 2.6963
_cell_length_b 4.0973
_cell_length_c 7.1913
_cell_angle_alpha 90.00
_cell_angle_beta 96.38
_cell_angle_gamma 90.00
loop_
_atom_site_label
_atom_site_fract_x
_atom_site_fract_y
_atom_site_fract_z
_atom_site_occupancy
Li1 0.2398 0.2500 0.4518 1
V1 0.3558 0.7500 0.9050 1
Si1 0.1405 0.7500 0.2285 1
```


Structure and simulated powder diffraction line list of LiSiW (DFT lattice parameters and positions (GGA-PBE); Cu Kα, 1.54184 Å).
Lines closer than 0.1° are merged.

Most intense lines, 2θ from 10° to 80°, by intensity:
26.6 deg, I = 100.0, (0 1 1)
21.6 deg, I = 80.0, (0 0 2)
47.2 deg, I = 77.9, (1 0 3)
41.1 deg, I = 53.2, (0 1 3)
41.5 deg, I = 51.8, (1 1 0)
34.9 deg, I = 50.1, (1 0 1)

```
data_LiSiW
_chemical_formula_sum 'Li2 Si2 W2'
_space_group_name_H-M_alt 'I m m 2'
_space_group_IT_number 44
_space_group_name_Hall 'I 2 -2'
_cell_length_a 2.7057
_cell_length_b 3.6637
_cell_length_c 8.2395
_cell_angle_alpha 90.00
_cell_angle_beta 90.00
_cell_angle_gamma 90.00
loop_
_atom_site_label
_atom_site_fract_x
_atom_site_fract_y
_atom_site_fract_z
_atom_site_occupancy
Li1 0.0000 0.0000 0.0000 1
Si1 0.0000 0.0000 0.6499 1
W1 0.0000 0.0000 0.3203 1
```


Structure and simulated powder diffraction line list of Li2Zn3Si (DFT lattice parameters and positions (GGA-PBE); Cu Kα, 1.54184 Å).
Lines closer than 0.1° are merged.

Most intense lines, 2θ from 10° to 80°, by intensity:
40.0 deg, I = 100.0, (1 1 5)
27.2 deg, I = 48.3, (1 1 1)
44.8 deg, I = 48.0, (1 1 6)
16.5 deg, I = 47.2, (1 0 1)
19.4 deg, I = 44.4, (1 0 2)
43.8 deg, I = 41.3, (0 2 0)

```
data_Li2Zn3Si
_chemical_formula_sum 'Li8 Zn12 Si4'
_space_group_name_H-M_alt 'P n m a'
_space_group_IT_number 62
_space_group_name_Hall '-P 2ac 2n'
_cell_length_a 5.7386
_cell_length_b 4.1379
_cell_length_c 15.2016
_cell_angle_alpha 90.00
_cell_angle_beta 90.00
_cell_angle_gamma 90.00
loop_
_atom_site_label
_atom_site_fract_x
_atom_site_fract_y
_atom_site_fract_z
_atom_site_occupancy
Li1 0.1415 0.2500 0.0225 1
Li2 0.1974 0.7500 0.7004 1
Zn1 0.0769 0.2500 0.5539 1
Zn2 0.1141 0.7500 0.2931 1
Zn3 0.2383 0.2500 0.3890 1
Si1 0.0279 0.7500 0.1355 1
```


Structure and simulated powder diffraction line list of LiZn2Si (DFT lattice parameters and positions (GGA-PBE); Cu Kα, 1.54184 Å).
Lines closer than 0.1° are merged.

Most intense lines, 2θ from 10° to 80°, by intensity:
43.8 deg, I = 100.0, (1 0 2)
37.5 deg, I = 78.5, (1 1 0)
26.3 deg, I = 76.0, (1 0 0)
72.0 deg, I = 42.2, (2 1 2)
54.0 deg, I = 26.1, (2 0 0)
51.7 deg, I = 23.0, (1 1 2)

```
data_LiZn2Si
_chemical_formula_sum 'Li1 Zn2 Si1'
_space_group_name_H-M_alt 'P 4/m m m'
_space_group_IT_number 123
_space_group_name_Hall '-P 4 2'
_cell_length_a 3.3938
_cell_length_b 3.3938
_cell_length_c 5.2197
_cell_angle_alpha 90.00
_cell_angle_beta 90.00
_cell_angle_gamma 90.00
loop_
_atom_site_label
_atom_site_fract_x
_atom_site_fract_y
_atom_site_fract_z
_atom_site_occupancy
Li1 0.0000 0.0000 0.0000 1
Zn1 0.5000 0.5000 0.2487 1
Si1 0.0000 0.0000 0.5000 1
```


Structure and simulated powder diffraction line list of Li6Zn2Si (DFT lattice parameters and positions (GGA-PBE); Cu Kα, 1.54184 Å).
Lines closer than 0.1° are merged.

Most intense lines, 2θ from 10° to 80°, by intensity:
23.3 deg, I = 100.0, (1 1 0)
42.1 deg, I = 58.5, (1 1 3)
40.9 deg, I = 37.1, (3 0 0)
60.2 deg, I = 20.6, (2 2 3)
75.3 deg, I = 19.5, (4 1 3)
54.6 deg, I = 15.5, (3 0 3)

```
data_Li6Zn2Si
_chemical_formula_sum 'Li18 Zn6 Si3'
_space_group_name_H-M_alt 'R -3 m'
_space_group_IT_number 166
_space_group_name_Hall '-R 3 2"'
_cell_length_a 7.6357
_cell_length_b 7.6357
_cell_length_c 7.7937
_cell_angle_alpha 90.00
_cell_angle_beta 90.00
_cell_angle_gamma 120.00
loop_
_atom_site_label
_atom_site_fract_x
_atom_site_fract_y
_atom_site_fract_z
_atom_site_occupancy
Li1 0.0000 0.3362 0.0000 1
Zn1 0.0000 0.0000 0.1651 1
Si1 0.0000 0.0000 0.5000 1
```


Structure and simulated powder diffraction line list of Li2ZnSi (DFT lattice parameters and positions (GGA-PBE); Cu Kα, 1.54184 Å).
Lines closer than 0.1° are merged.

Most intense lines, 2θ from 10° to 80°, by intensity:
16.1 deg, I = 100.0, (0 0 1)
28.1 deg, I = 51.6, (0 1 1)
40.0 deg, I = 48.6, (1 1 0)
40.2 deg, I = 48.0, (0 1 2)
43.4 deg, I = 31.7, (1 1 1)
46.6 deg, I = 30.9, (1 0 2)

```
data_Li2ZnSi
_chemical_formula_sum 'Li2 Zn1 Si1'
_space_group_name_H-M_alt 'P m m 2'
_space_group_IT_number 25
_space_group_name_Hall 'P 2 -2'
_cell_length_a 2.7649
_cell_length_b 3.8893
_cell_length_c 5.4971
_cell_angle_alpha 90.00
_cell_angle_beta 90.00
_cell_angle_gamma 90.00
loop_
_atom_site_label
_atom_site_fract_x
_atom_site_fract_y
_atom_site_fract_z
_atom_site_occupancy
Li1 0.0000 0.0000 0.0000 1
Li2 0.5000 0.5000 0.2705 1
Zn1 0.5000 0.5000 0.7561 1
Si1 0.0000 0.0000 0.5065 1
```


Structure and simulated powder diffraction line list of LiSm4 (DFT lattice parameters and positions (GGA-PBE); Cu Kα, 1.54184 Å).
Lines closer than 0.1° are merged.

Most intense lines, 2θ from 10° to 80°, by intensity:
28.3 deg, I = 100.0, (1 1 1)
32.8 deg, I = 52.9, (2 0 0)
55.8 deg, I = 45.1, (3 1 1)
47.0 deg, I = 38.7, (2 2 0)
75.9 deg, I = 18.1, (3 3 1)
78.2 deg, I = 17.3, (4 2 0)

```
data_LiSm4
_chemical_formula_sum 'Li1 Sm4'
_space_group_name_H-M_alt 'P m -3 m'
_space_group_IT_number 221
_space_group_name_Hall '-P 4 2 3'
_cell_length_a 5.4638
_cell_length_b 5.4638
_cell_length_c 5.4638
_cell_angle_alpha 90.00
_cell_angle_beta 90.00
_cell_angle_gamma 90.00
loop_
_atom_site_label
_atom_site_fract_x
_atom_site_fract_y
_atom_site_fract_z
_atom_site_occupancy
Li1 0.0000 0.0000 0.0000 1
Sm1 0.0000 0.0000 0.5000 1
Sm2 0.5000 0.5000 0.5000 1
```


Structure and simulated powder diffraction line list of Li3Sm (DFT lattice parameters and positions (GGA-PBE); Cu Kα, 1.54184 Å).
Lines closer than 0.1° are merged.

Most intense lines, 2θ from 10° to 80°, by intensity:
30.8 deg, I = 100.0, (1 0 3)
28.2 deg, I = 86.0, (1 0 2)
34.2 deg, I = 71.7, (1 0 4)
10.9 deg, I = 70.5, (0 0 2)
37.4 deg, I = 40.5, (1 1 1)
37.0 deg, I = 36.9, (1 1 0)

```
data_Li3Sm
_chemical_formula_sum 'Li6 Sm2'
_space_group_name_H-M_alt 'P 4/n m m'
_space_group_IT_number 129
_cell_length_a 3.4351
_cell_length_b 3.4351
_cell_length_c 16.2236
_cell_angle_alpha 90.00
_cell_angle_beta 90.00
_cell_angle_gamma 90.00
loop_
_space_group_symop_operation_xyz
'x,y,z'
'-x,-y,-z'
'-y+1/2,x,z'
'y+1/2,-x,-z'
'-x+1/2,-y+1/2,z'
'x+1/2,y+1/2,-z'
'y,-x+1/2,z'
'-y,x+1/2,-z'
'x+1/2,-y,-z'
'-x+1/2,y,z'
'-y,-x,-z'
'y,x,z'
'-x,y+1/2,-z'
'x,-y+1/2,z'
'y+1/2,x+1/2,-z'
'-y+1/2,-x+1/2,z'
loop_
_atom_site_label
_atom_site_fract_x
_atom_site_fract_y
_atom_site_fract_z
_atom_site_occupancy
Li1 0.2500 0.2500 0.0529 1
Li2 0.2500 0.2500 0.2684 1
Li3 0.2500 0.2500 0.8370 1
Sm1 0.2500 0.2500 0.5805 1
```


Structure and simulated powder diffraction line list of Li2Sm (DFT lattice parameters and positions (GGA-PBE); Cu Kα, 1.54184 Å).
Lines closer than 0.1° are merged.

Most intense lines, 2θ from 10° to 80°, by intensity:
11.1 deg, I = 100.0, (0 0 1)
30.6 deg, I = 29.4, (0 1 0)
32.6 deg, I = 28.6, (0 1 1)
32.7 deg, I = 26.7, (1 -1 1)
38.3 deg, I = 23.6, (1 0 2)
22.4 deg, I = 21.9, (0 0 2)

```
data_Li2Sm
_chemical_formula_sum 'Li2 Sm1'
_space_group_name_H-M_alt 'P -1'
_space_group_IT_number 2
_space_group_name_Hall '-P 1'
_cell_length_a 3.3716
_cell_length_b 3.3747
_cell_length_c 7.9457
_cell_angle_alpha 90.17
_cell_angle_beta 90.06
_cell_angle_gamma 119.86
loop_
_atom_site_label
_atom_site_fract_x
_atom_site_fract_y
_atom_site_fract_z
_atom_site_occupancy
Li1 0.1640 0.3305 0.1513 1
Sm1 0.5000 0.0000 0.5000 1
```


Structure and simulated powder diffraction line list of Li3Sm (DFT lattice parameters and positions (GGA-PBE); Cu Kα, 1.54184 Å).
Lines closer than 0.1° are merged.

Most intense lines, 2θ from 10° to 80°, by intensity:
15.6 deg, I = 100.0, (0 0 1)
16.7 deg, I = 88.1, (0 1 0)
22.9 deg, I = 86.3, (0 1 1)
36.3 deg, I = 63.0, (1 1 1)
32.0 deg, I = 39.6, (1 0 1)
32.6 deg, I = 34.7, (1 1 0)

```
data_Li3Sm
_chemical_formula_sum 'Li3 Sm1'
_space_group_name_H-M_alt 'P m m 2'
_space_group_IT_number 25
_space_group_name_Hall 'P 2 -2'
_cell_length_a 3.2112
_cell_length_b 5.3060
_cell_length_c 5.6770
_cell_angle_alpha 90.00
_cell_angle_beta 90.00
_cell_angle_gamma 90.00
loop_
_atom_site_label
_atom_site_fract_x
_atom_site_fract_y
_atom_site_fract_z
_atom_site_occupancy
Li1 0.0000 0.0000 0.0000 1
Li2 0.0000 0.5000 0.2893 1
Li3 0.5000 0.0000 0.4459 1
Sm1 0.5000 0.5000 0.7927 1
```


Structure and simulated powder diffraction line list of LiSm3 (DFT lattice parameters and positions (GGA-PBE); Cu Kα, 1.54184 Å).
Lines closer than 0.1° are merged.

Most intense lines, 2θ from 10° to 80°, by intensity:
32.5 deg, I = 100.0, (1 1 2)
28.4 deg, I = 28.3, (0 1 3)
31.9 deg, I = 27.8, (0 2 0)
31.4 deg, I = 22.4, (0 0 4)
57.3 deg, I = 19.9, (1 3 2)
24.6 deg, I = 19.0, (1 0 1)

```
data_LiSm3
_chemical_formula_sum 'Li2 Sm6'
_space_group_name_H-M_alt 'I m m m'
_space_group_IT_number 71
_space_group_name_Hall '-I 2 2'
_cell_length_a 3.8160
_cell_length_b 5.6027
_cell_length_c 11.3866
_cell_angle_alpha 90.00
_cell_angle_beta 90.00
_cell_angle_gamma 90.00
loop_
_atom_site_label
_atom_site_fract_x
_atom_site_fract_y
_atom_site_fract_z
_atom_site_occupancy
Li1 0.0000 0.0000 0.0000 1
Sm1 0.0000 0.0000 0.5000 1
Sm2 0.0000 0.5000 0.2746 1
```


Structure and simulated powder diffraction line list of Li5Sm2Sn4 (DFT lattice parameters and positions (GGA-PBE); Cu Kα, 1.54184 Å).
Lines closer than 0.1° are merged.

Most intense lines, 2θ from 10° to 80°, by intensity:
33.9 deg, I = 100.0, (1 3 3)
30.1 deg, I = 50.9, (1 3 1)
10.7 deg, I = 49.5, (0 0 2)
21.5 deg, I = 48.7, (0 0 4)
29.3 deg, I = 47.5, (2 0 0)
36.6 deg, I = 29.7, (2 0 4)

```
data_Li5Sm2Sn4
_chemical_formula_sum 'Li20 Sm8 Sn16'
_space_group_name_H-M_alt 'F m m m'
_space_group_IT_number 69
_space_group_name_Hall '-F 2 2'
_cell_length_a 6.1051
_cell_length_b 10.4014
_cell_length_c 16.5534
_cell_angle_alpha 90.00
_cell_angle_beta 90.00
_cell_angle_gamma 90.00
loop_
_atom_site_label
_atom_site_fract_x
_atom_site_fract_y
_atom_site_fract_z
_atom_site_occupancy
Li1 0.0000 0.0000 0.0000 1
Li2 0.2500 0.2500 0.0000 1
Li3 0.2500 0.2500 0.2500 1
Sm1 0.0000 0.0000 0.3264 1
Sn1 0.0000 0.1421 0.1383 1
```